Entry 1:
For Pr7SmHo12, a cell relaxed with GGA-PBE gives the calculated powder diffractogram in this record (copper Kα).

Top 10 peaks for 2θ = 10–80°, low angle first:
two_theta, Rel. int.
28.7, 25
30.6, 39
31.4, 100
31.6, 47
32.4, 21
32.9, 60
36.3, 18
41.8, 15
55.1, 25
58.4, 17

Cell and atoms:
```
Pr7SmHo12
1.0
6.015 3.473 5.433
-6.015 3.473 5.433
0.000 -6.946 5.433
Pr Sm Ho
7 1 12
Direct
0.000 0.000 0.000 Pr
0.101 0.343 0.422 Pr
0.343 0.422 0.101 Pr
0.422 0.101 0.343 Pr
0.578 0.899 0.657 Pr
0.657 0.578 0.899 Pr
0.899 0.657 0.578 Pr
0.500 0.500 0.500 Sm
0.004 0.366 0.882 Ho
0.118 0.996 0.634 Ho
0.226 0.754 0.355 Ho
0.246 0.645 0.774 Ho
0.355 0.226 0.754 Ho
0.366 0.882 0.004 Ho
0.634 0.118 0.996 Ho
0.645 0.774 0.246 Ho
0.754 0.355 0.226 Ho
0.774 0.246 0.645 Ho
0.882 0.004 0.366 Ho
0.996 0.634 0.118 Ho
```

=====

Entry 2:
For Pr5SmHo, a cell relaxed with GGA-PBE gives the calculated powder diffractogram in this record (copper Kα).

Top 10 peaks for 2θ = 10–80°, low angle first:
two_theta, Rel. int.
14.5, 100
17.9, 64
20.1, 75
26.1, 51
29.2, 96
30.0, 90
33.4, 55
33.9, 67
42.4, 70
45.3, 59

Cell and atoms:
```
Pr5SmHo
1.0
-2.981 4.428 6.112
2.981 -4.428 6.112
2.981 4.428 -6.112
Pr Sm Ho
5 1 1
Direct
0.000 0.000 0.000 Pr
0.249 0.749 0.500 Pr
0.324 0.500 0.824 Pr
0.676 0.500 0.176 Pr
0.751 0.251 0.500 Pr
0.000 0.500 0.500 Sm
0.500 0.000 0.500 Ho
```

=====

Entry 3:
For PrSm4Ho10, a cell relaxed with GGA-PBE gives the calculated powder diffractogram in this record (copper Kα).

Top 10 peaks for 2θ = 10–80°, low angle first:
two_theta, Rel. int.
28.5, 29
29.3, 57
29.4, 36
31.0, 100
35.4, 77
35.5, 38
40.7, 28
42.0, 33
45.5, 33
53.1, 29

Cell and atoms:
```
PrSm4Ho10
1.0
-6.448 6.448 3.240
6.448 -6.448 3.240
6.448 6.448 -3.240
Pr Sm Ho
1 4 10
Direct
0.000 0.000 0.000 Pr
0.328 0.433 0.760 Sm
0.433 0.672 0.105 Sm
0.567 0.328 0.895 Sm
0.672 0.567 0.240 Sm
0.044 0.621 0.164 Ho
0.120 0.956 0.577 Ho
0.250 0.750 0.500 Ho
0.379 0.543 0.423 Ho
0.457 0.880 0.836 Ho
0.543 0.120 0.164 Ho
0.621 0.457 0.577 Ho
0.750 0.250 0.500 Ho
0.880 0.044 0.423 Ho
0.956 0.379 0.836 Ho
```